1.
For Gd2W2O9, a GGA+U-relaxed structure gives the calculated powder XRD pattern in this record (CuKα).
Neutral-atom scattering factors, no anomalous dispersion.

Atomic structure:
```
data_Gd2W2O9
_chemical_formula_sum 'Gd8 W8 O36'
_cell_length_a 7.7253
_cell_length_b 9.8550
_cell_length_c 9.2919
_cell_angle_alpha 90.00
_cell_angle_beta 108.04
_cell_angle_gamma 90.00
_symmetry_space_group_name_H-M 'P 1 21/c 1'
_symmetry_Int_Tables_number 14
_symmetry_space_group_name_Hall '-P 2ybc'
loop_
_atom_site_label
_atom_site_type_symbol
_atom_site_fract_x
_atom_site_fract_y
_atom_site_fract_z
Gd1 Gd 0.2055 0.0534 0.4268
Gd2 Gd 0.2728 0.0575 0.8463
W1 W 0.0819 0.7296 0.4662
W2 W 0.4337 0.7493 0.2637
O1 O 0.0057 0.5958 0.3213
O2 O 0.0530 0.1028 0.6102
O3 O 0.0915 0.2054 0.9323
O4 O 0.2345 0.6340 0.1398
O5 O 0.2505 0.6800 0.8639
O6 O 0.2792 0.6208 0.5840
O7 O 0.3929 0.2137 0.3372
O8 O 0.4303 0.0947 0.6512
O9 O 0.4935 0.1136 0.0940
```

Main lines, in order of rising 2θ (2θ from 10° to 90°):
| d/Å | 2theta | intensity | hkl |
| --- | --- | --- | --- |
| 3.354 | 26.57 | 100 | 1 0 2 |
| 3.299 | 27.03 | 80 | 1 2 -2 |
| 3.203 | 27.86 | 68 | 2 1 -2 |
| 2.999 | 29.79 | 56 | 1 3 0 |
| 2.945 | 30.36 | 61 | 2 2 0 |
| 2.376 | 37.86 | 25 | 3 1 0 |
| 1.986 | 45.69 | 22 | 1 4 2 |
| 1.975 | 45.94 | 34 | 2 3 2 |

2.
For BaV2CuAg2O8, a GGA+U-relaxed structure gives the calculated powder XRD pattern in this record (CuKα).
Neutral-atom scattering factors, no anomalous dispersion.

Atomic structure:
```
data_BaV2CuAg2O8
_chemical_formula_sum 'Ba2 V4 Cu2 Ag4 O16'
_cell_length_a 5.4491
_cell_length_b 5.8036
_cell_length_c 14.5907
_cell_angle_alpha 98.68
_cell_angle_beta 91.49
_cell_angle_gamma 116.02
_symmetry_space_group_name_H-M 'P -1'
_symmetry_Int_Tables_number 2
_symmetry_space_group_name_Hall '-P 1'
loop_
_atom_site_label
_atom_site_type_symbol
_atom_site_fract_x
_atom_site_fract_y
_atom_site_fract_z
Ba1 Ba 0.0535 0.0690 0.2549
V1 V 0.3456 0.6948 0.8681
V2 V 0.3766 0.7585 0.3760
Cu1 Cu 0.0000 0.0000 0.0000
Cu2 Cu 0.0000 0.0000 0.5000
Ag1 Ag 0.2828 0.5778 0.5878
Ag2 Ag 0.3197 0.6643 0.0938
O1 O 0.0744 0.7637 0.9091
O2 O 0.1946 0.4797 0.4226
O3 O 0.2607 0.1406 0.6108
O4 O 0.2710 0.6781 0.2595
O5 O 0.2863 0.3853 0.8835
O6 O 0.2922 0.0135 0.4209
O7 O 0.3209 0.0634 0.0816
O8 O 0.3536 0.7190 0.7518
```

Main lines, in order of rising 2θ (2θ from 10° to 90°):
| d/Å | 2theta | intensity | hkl |
| --- | --- | --- | --- |
| 3.043 | 29.36 | 97 | 1 0 -4 |
| 2.958 | 30.21 | 87 | 1 -1 4 |
| 2.936 | 30.45 | 79 | 1 1 0 |
| 2.858 | 31.30 | 92 | 1 -2 0 |
| 2.723 | 32.90 | 100 | 2 -1 0 |
| 2.718 | 32.96 | 53 | 0 1 4 |
| 2.291 | 39.33 | 40 | 0 2 -4 |
| 1.923 | 47.26 | 51 | -2 2 4 |